# 1
Structure and computed X-ray powder pattern of BaZnF4 (a crystal structure in the Materials Project, relaxed with GGA-PBE; λ = 1.5418 Å (Cu Kα)).
Intensities are scaled so that the largest is 100.

Largest 12 diffraction maxima, in order of falling intensity, 10 to 90 degrees two-theta:
- 26.4°, intensity 100
- 28.2°, intensity 46
- 41.2°, intensity 41
- 23.9°, intensity 38
- 39.9°, intensity 31
- 42.5°, intensity 30
- 29.9°, intensity 29
- 31.5°, intensity 25
- 27.6°, intensity 24
- 38.6°, intensity 21
- 51.4°, intensity 20
- 19.0°, intensity 19

```
12
Lattice="2.1267 -7.4540 0.0000 2.1267 7.4540 0.0000 0.0000 0.0000 5.9703" Properties=species:S:1:pos:R:3 pbc="T T T"
Ba 2.1267 5.2269 2.9851
Ba 2.1267 -5.2269 0.0000
Zn 2.1267 1.2779 2.7276
Zn 2.1267 -1.2779 5.7127
F 2.1267 6.2983 5.5954
F 2.1267 2.9571 1.5615
F 2.1267 2.4584 4.3517
F 2.1267 0.4638 0.7407
F 2.1267 -0.4638 3.7258
F 2.1267 -2.4584 1.3665
F 2.1267 -2.9571 4.5466
F 2.1267 -6.2983 2.6103
```

# 2
Structure and computed X-ray powder pattern of BaZr2F10 (a crystal structure in the Materials Project, relaxed with GGA-PBE; λ = 1.5418 Å (Cu Kα)).
Intensities are scaled so that the largest is 100.

Largest 12 diffraction maxima, in order of falling intensity, 10 to 90 degrees two-theta:
- 21.2°, intensity 100
- 22.6°, intensity 74
- 22.4°, intensity 45
- 24.7°, intensity 40
- 41.6°, intensity 38
- 30.9°, intensity 29
- 27.7°, intensity 26
- 26.5°, intensity 25
- 43.6°, intensity 20
- 15.9°, intensity 20
- 42.6°, intensity 18
- 42.1°, intensity 17

```
26
Lattice="3.1119 -7.9462 0.0000 3.1119 7.9462 0.0000 -2.5522 0.0000 8.5439" Properties=species:S:1:pos:R:3 pbc="T T T"
Ba 1.1977 6.8379 6.4079
Ba 2.4738 -6.8379 2.1360
Zr -0.3579 2.4595 7.7195
Zr 0.9182 -2.4595 3.4476
Zr 2.7534 2.4595 5.0963
Zr 4.0295 -2.4595 0.8244
F -0.2164 4.6425 7.9126
F -1.4117 0.9092 8.5297
F 2.4738 4.8215 2.1360
F -0.2235 1.0144 6.3297
F -0.1356 -0.9092 4.2577
F 1.3279 2.1725 3.7237
F 1.1977 3.1669 6.4079
F 1.0526 -1.0144 2.0577
F 2.6119 4.6425 4.9032
F 3.6198 2.1725 0.5482
F 0.0518 -2.1725 7.9957
F 1.0597 -4.6425 3.6407
F 2.6190 1.0144 6.4862
F 2.4738 -3.1669 2.1360
F 2.3437 -2.1725 4.8202
F 3.8072 0.9092 4.2862
F 3.8950 -1.0144 2.2143
F 1.1977 -4.8215 6.4079
F 5.0833 -0.9092 0.0143
F 3.8879 -4.6425 0.6313
```

# 3
Structure and computed X-ray powder pattern of Ba2ZrF8 (a crystal structure in the Materials Project, relaxed with GGA-PBE; λ = 1.5418 Å (Cu Kα)).
Intensities are scaled so that the largest is 100.

Largest 12 diffraction maxima, in order of falling intensity, 10 to 90 degrees two-theta:
- 24.8°, intensity 100
- 23.2°, intensity 99
- 44.4°, intensity 52
- 23.6°, intensity 48
- 28.6°, intensity 47
- 39.7°, intensity 44
- 41.6°, intensity 41
- 42.3°, intensity 35
- 30.7°, intensity 34
- 31.3°, intensity 34
- 23.9°, intensity 31
- 44.7°, intensity 27

```
44
Lattice="10.0026 0.0000 0.0000 0.0000 5.7221 0.0000 0.0000 0.0000 12.0404" Properties=species:S:1:pos:R:3 pbc="T T T"
Ba 0.4763 1.4305 1.9241
Ba 1.3772 1.4305 6.7377
Ba 3.6241 4.2916 0.7175
Ba 4.5250 4.2916 7.9443
Ba 5.4776 1.4305 4.0961
Ba 6.3785 1.4305 11.3228
Ba 8.6254 4.2916 5.3027
Ba 9.5264 4.2916 10.1163
Zr 2.4138 4.2916 4.3311
Zr 2.5876 1.4305 10.3513
Zr 7.4151 4.2916 1.6891
Zr 7.5889 1.4305 7.7093
F 0.9470 0.0736 4.3568
F 0.9470 2.7874 4.3568
F 1.4142 4.2916 2.3191
F 1.4360 4.2916 6.3103
F 1.4625 0.1002 11.6234
F 1.4625 2.7609 11.6234
F 1.5437 0.0816 9.1094
F 1.5437 2.7794 9.1094
F 3.4576 2.9427 3.0892
F 3.4576 5.6405 3.0892
F 3.5389 2.9613 5.6033
F 3.5389 5.6219 5.6033
F 3.5653 1.4305 0.2901
F 3.5872 1.4305 8.3393
F 4.0543 2.9347 10.3770
F 4.0543 5.6485 10.3770
F 5.9483 0.0736 1.6633
F 5.9483 2.7874 1.6633
F 6.4155 4.2916 3.7011
F 6.4373 4.2916 11.7503
F 6.4638 0.1002 6.4371
F 6.4638 2.7609 6.4371
F 6.5450 0.0816 8.9511
F 6.5450 2.7794 8.9511
F 8.4589 2.9427 2.9309
F 8.4589 5.6405 2.9309
F 8.5402 2.9613 0.4169
F 8.5402 5.6219 0.4169
F 8.5667 1.4305 5.7301
F 8.5885 1.4305 9.7213
F 9.0556 2.9347 7.6835
F 9.0556 5.6485 7.6835
```

# 4
Structure and computed X-ray powder pattern of Ba4Fe2S4I5 (a crystal structure in the Materials Project, relaxed with GGA-PBE; λ = 1.5418 Å (Cu Kα)).
Intensities are scaled so that the largest is 100.

Largest 12 diffraction maxima, in order of falling intensity, 10 to 90 degrees two-theta:
- 28.8°, intensity 100
- 25.7°, intensity 74
- 31.5°, intensity 65
- 28.5°, intensity 61
- 22.3°, intensity 36
- 34.7°, intensity 31
- 48.4°, intensity 26
- 37.5°, intensity 25
- 55.9°, intensity 24
- 32.6°, intensity 22
- 52.0°, intensity 20
- 50.6°, intensity 18

```
15
Lattice="-6.9995 6.9995 2.5858 6.9995 -6.9995 2.5858 6.9995 6.9995 -2.5858" Properties=species:S:1:pos:R:3 pbc="T T T"
Ba 3.5052 0.8486 0.0000
Ba 6.1509 -3.4943 2.5858
Ba 0.8486 10.4938 0.0000
Ba 3.4943 6.1509 2.5858
Fe 6.9995 0.0000 1.2929
Fe 0.0000 6.9995 1.2929
S 8.1959 1.4049 0.0000
S 1.4049 5.8031 0.0000
S 5.5946 1.1964 2.5858
S -1.1964 5.5946 2.5858
I 0.0000 0.0000 0.0000
I 5.1700 4.1535 0.0000
I 2.8460 -1.8295 2.5858
I 4.1535 8.8291 0.0000
I 1.8295 2.8460 2.5858
```

# 5
Structure and computed X-ray powder pattern of KBaFe4Se6 (a crystal structure in the Materials Project, relaxed with GGA-PBE; λ = 1.5418 Å (Cu Kα)).
Intensities are scaled so that the largest is 100.

Largest 12 diffraction maxima, in order of falling intensity, 10 to 90 degrees two-theta:
- 29.3°, intensity 100
- 44.6°, intensity 27
- 12.0°, intensity 27
- 51.9°, intensity 23
- 56.4°, intensity 14
- 23.9°, intensity 14
- 49.6°, intensity 12
- 45.0°, intensity 12
- 47.6°, intensity 11
- 14.5°, intensity 11
- 29.1°, intensity 11
- 32.8°, intensity 9

```
24
Lattice="5.4613 0.0000 0.0000 0.0000 9.2149 0.0000 0.0000 0.0000 12.1864" Properties=species:S:1:pos:R:3 pbc="T T T"
K 0.0000 2.2918 0.0000
K 0.0000 6.9231 6.0932
Ba 2.7307 2.2852 7.9655
Ba 2.7307 6.9297 1.8723
Fe 1.3744 1.0170 3.9608
Fe 1.3744 8.1979 10.0540
Fe 1.3900 3.5883 4.0154
Fe 1.3900 5.6266 10.1086
Fe 4.0714 3.5883 4.0154
Fe 4.0714 5.6266 10.1086
Fe 4.0869 1.0170 3.9608
Fe 4.0869 8.1979 10.0540
Se 0.0000 0.2825 8.5669
Se 0.0000 2.2857 5.5625
Se 0.0000 4.2060 8.7430
Se 0.0000 5.0090 2.6499
Se 0.0000 6.9293 11.6557
Se 0.0000 8.9324 2.4737
Se 2.7307 0.3604 11.4462
Se 2.7307 2.3209 2.4047
Se 2.7307 4.3783 11.6192
Se 2.7307 4.8367 5.5260
Se 2.7307 6.8940 8.4979
Se 2.7307 8.8545 5.3531
```

# 6
Structure and computed X-ray powder pattern of BaMgFe2S4 (a crystal structure in the Materials Project, relaxed with GGA-PBE; λ = 1.5418 Å (Cu Kα)).
Intensities are scaled so that the largest is 100.

Largest 12 diffraction maxima, in order of falling intensity, 10 to 90 degrees two-theta:
- 31.5°, intensity 100
- 32.6°, intensity 92
- 16.6°, intensity 81
- 27.2°, intensity 72
- 26.8°, intensity 71
- 17.3°, intensity 67
- 49.7°, intensity 66
- 30.6°, intensity 59
- 15.1°, intensity 55
- 22.1°, intensity 51
- 19.5°, intensity 49
- 39.7°, intensity 46

```
8
Lattice="5.0628 0.0000 0.0000 -2.5262 5.8495 0.0000 -0.0101 -3.1988 5.8814" Properties=species:S:1:pos:R:3 pbc="T T T"
Ba 0.0000 0.0000 0.0000
Mg 2.5210 -0.9799 3.4466
Fe -1.2655 2.7325 2.1645
Fe 1.2603 2.7330 2.1651
S -0.0082 -1.4424 2.7992
S -0.0017 3.1588 0.4770
S -0.0036 2.4093 3.9203
S 2.5290 0.9935 1.9373
```

# 7
Structure and computed X-ray powder pattern of BaMgFe2S4 (a crystal structure in the Materials Project, relaxed with GGA-PBE; λ = 1.5418 Å (Cu Kα)).
Intensities are scaled so that the largest is 100.

Largest 12 diffraction maxima, in order of falling intensity, 10 to 90 degrees two-theta:
- 37.3°, intensity 100
- 31.1°, intensity 80
- 18.4°, intensity 75
- 24.8°, intensity 72
- 35.4°, intensity 63
- 37.4°, intensity 33
- 57.5°, intensity 30
- 58.8°, intensity 24
- 45.3°, intensity 19
- 45.4°, intensity 19
- 50.9°, intensity 14
- 56.6°, intensity 13

```
8
Lattice="4.8295 -3.5870 0.0000 4.8295 3.5870 0.0000 -4.3631 0.0000 4.8271" Properties=species:S:1:pos:R:3 pbc="T T T"
Ba 0.0000 0.0000 0.0000
Mg 2.6480 -3.5808 2.4136
Fe 4.8295 -0.0022 0.0000
Fe 2.6480 0.0003 2.4136
S 0.6643 1.1957 2.8159
S 2.8515 -1.2057 0.4067
S 4.6317 1.1957 2.0112
S 2.4445 -1.2057 4.4204
```

# 8
Structure and computed X-ray powder pattern of BaMgFe2S4 (a crystal structure in the Materials Project, relaxed with GGA-PBE; λ = 1.5418 Å (Cu Kα)).
Intensities are scaled so that the largest is 100.

Largest 12 diffraction maxima, in order of falling intensity, 10 to 90 degrees two-theta:
- 47.5°, intensity 100
- 30.0°, intensity 96
- 32.4°, intensity 79
- 23.7°, intensity 76
- 33.8°, intensity 45
- 18.1°, intensity 34
- 54.7°, intensity 31
- 50.3°, intensity 21
- 63.7°, intensity 19
- 82.9°, intensity 18
- 70.3°, intensity 16
- 27.6°, intensity 16

```
8
Lattice="-3.7507 3.7507 3.2344 3.7507 -3.7507 3.2344 3.7507 3.7507 -3.2344" Properties=species:S:1:pos:R:3 pbc="T T T"
Ba 0.0000 0.0000 0.0000
Mg 0.0000 0.0000 3.2344
Fe 3.7507 0.0000 1.6172
Fe 0.0000 3.7507 1.6172
S 4.6776 1.4483 0.0000
S 1.4483 2.8238 0.0000
S 2.3024 0.9269 3.2344
S -0.9269 2.3024 3.2344
```

# 9
Structure and computed X-ray powder pattern of BaFe2N2 (a crystal structure in the Materials Project, relaxed with GGA-PBE; λ = 1.5418 Å (Cu Kα)).
Intensities are scaled so that the largest is 100.

Largest 12 diffraction maxima, in order of falling intensity, 10 to 90 degrees two-theta:
- 33.6°, intensity 100
- 41.1°, intensity 35
- 54.7°, intensity 24
- 26.6°, intensity 18
- 64.1°, intensity 17
- 70.1°, intensity 15
- 51.6°, intensity 15
- 65.7°, intensity 14
- 40.3°, intensity 12
- 61.8°, intensity 10
- 89.1°, intensity 7
- 70.6°, intensity 7

```
5
Lattice="3.3583 0.0000 0.0000 -1.6792 2.9084 0.0000 0.0000 0.0000 6.7073" Properties=species:S:1:pos:R:3 pbc="T T T"
Ba 0.0000 0.0000 0.0000
Fe 0.0000 1.9389 2.6476
Fe 1.6792 0.9695 4.0597
N 0.0000 1.9389 4.5216
N 1.6792 0.9695 2.1857
```

# 10
Structure and computed X-ray powder pattern of BaFe2N2 (a crystal structure in the Materials Project, relaxed with GGA-PBE; λ = 1.5418 Å (Cu Kα)).
Intensities are scaled so that the largest is 100.

Largest 12 diffraction maxima, in order of falling intensity, 10 to 90 degrees two-theta:
- 28.1°, intensity 100
- 35.1°, intensity 37
- 47.2°, intensity 27
- 62.3°, intensity 23
- 38.2°, intensity 22
- 64.3°, intensity 16
- 34.3°, intensity 14
- 20.6°, intensity 14
- 29.4°, intensity 13
- 68.4°, intensity 11
- 46.4°, intensity 11
- 62.9°, intensity 9

```
10
Lattice="-3.0430 3.0430 4.7165 3.0430 -3.0430 4.7165 3.0430 3.0430 -4.7165" Properties=species:S:1:pos:R:3 pbc="T T T"
Ba 0.0000 0.0000 2.3583
Ba 0.0000 0.0000 7.0748
Fe 3.8609 0.8179 0.0000
Fe 0.8179 2.2251 0.0000
Fe 2.2251 0.8179 4.7165
Fe -0.8179 2.2251 4.7165
N 2.0727 0.9703 0.0000
N 2.0727 -0.9703 4.7165
N 0.9703 4.0133 0.0000
N 0.9703 2.0727 4.7165
```

# 11
Structure and computed X-ray powder pattern of BaNd2FeS5 (a crystal structure in the Materials Project, relaxed with GGA-PBE; λ = 1.5418 Å (Cu Kα)).
Intensities are scaled so that the largest is 100.

Largest 12 diffraction maxima, in order of falling intensity, 10 to 90 degrees two-theta:
- 26.1°, intensity 100
- 32.2°, intensity 88
- 36.0°, intensity 38
- 42.1°, intensity 31
- 26.4°, intensity 29
- 48.0°, intensity 24
- 32.1°, intensity 20
- 59.1°, intensity 20
- 67.1°, intensity 17
- 20.6°, intensity 17
- 42.0°, intensity 16
- 46.4°, intensity 15

```
18
Lattice="-3.9489 3.9489 6.7574 3.9489 -3.9489 6.7574 3.9489 3.9489 -6.7574" Properties=species:S:1:pos:R:3 pbc="T T T"
Ba 0.0000 0.0000 3.3787
Ba 0.0000 0.0000 10.1362
Nd 5.2277 1.2787 0.0000
Nd 1.2787 2.6702 0.0000
Nd 2.6702 1.2787 6.7574
Nd -1.2787 2.6702 6.7574
Fe 3.9489 0.0000 3.3787
Fe 0.0000 3.9489 3.3787
S 0.0000 0.0000 0.0000
S 2.7823 1.1666 -1.8295
S 2.7823 -1.1666 4.9279
S 2.7823 1.1666 1.8295
S 2.7823 -1.1666 8.5870
S 0.0000 0.0000 6.7574
S 1.1666 5.1155 -1.8295
S 1.1666 2.7823 4.9279
S 1.1666 5.1155 1.8295
S 1.1666 2.7823 8.5870
```

# 12
Structure and computed X-ray powder pattern of BaPr2FeS5 (a crystal structure in the Materials Project, relaxed with GGA-PBE; λ = 1.5418 Å (Cu Kα)).
Intensities are scaled so that the largest is 100.

Largest 12 diffraction maxima, in order of falling intensity, 10 to 90 degrees two-theta:
- 26.0°, intensity 100
- 32.1°, intensity 88
- 35.7°, intensity 39
- 42.0°, intensity 30
- 26.3°, intensity 29
- 47.7°, intensity 24
- 31.9°, intensity 21
- 41.8°, intensity 17
- 20.5°, intensity 17
- 66.6°, intensity 16
- 46.3°, intensity 16
- 51.6°, intensity 14

```
18
Lattice="-3.9729 3.9729 6.7659 3.9729 -3.9729 6.7659 3.9729 3.9729 -6.7659" Properties=species:S:1:pos:R:3 pbc="T T T"
Ba 0.0000 0.0000 3.3829
Ba 0.0000 0.0000 10.1488
Pr 5.2595 1.2866 0.0000
Pr 1.2866 2.6863 0.0000
Pr 2.6863 1.2866 6.7659
Pr -1.2866 2.6863 6.7659
Fe 3.9729 0.0000 3.3829
Fe 0.0000 3.9729 3.3829
S 0.0000 0.0000 0.0000
S 2.7992 1.1737 -1.8436
S 2.7992 -1.1737 4.9222
S 2.7992 1.1737 1.8436
S 2.7992 -1.1737 8.6095
S 0.0000 0.0000 6.7659
S 1.1737 5.1465 -1.8436
S 1.1737 2.7992 4.9222
S 1.1737 5.1465 1.8436
S 1.1737 2.7992 8.6095
```